[1]
Structure and computed PXRD pattern of PrHoCl2 (a GGA-PBE-relaxed structure; Cu Kα X-rays).

Crystal structure
```
PrHoCl2
1.0
1.831 1.057 9.555
-1.831 1.057 9.555
0.000 -2.114 9.555
Pr Ho Cl
1 1 2
Direct
0.000 0.000 0.000
0.500 0.500 0.500
0.407 0.407 0.407
0.593 0.593 0.593
```

Principal peaks in the range 2θ from 5° to 70°, by angle:
2θ 18.6, rel. 47; 2θ 28.8, rel. 100; 2θ 30.8, rel. 49; 2θ 37.7, rel. 19; 2θ 37.9, rel. 40; 2θ 42.5, rel. 43; 2θ 49.8, rel. 27; 2θ 53.6, rel. 19; 2θ 58.6, rel. 13; 2θ 64.1, rel. 23

***

[2]
Structure and computed PXRD pattern of LaTiGe2O8 (a GGA-PBE-relaxed structure; Cu Kα X-rays).

Crystal structure
```
LaTiGe2O8
1.0
-3.446 3.446 3.233
3.446 -3.446 3.233
3.446 3.446 -3.233
La Ti Ge O
1 1 2 8
Direct
0.000 0.000 0.000
0.250 0.750 0.500
0.500 0.500 0.000
0.750 0.250 0.500
0.325 0.122 0.797
0.325 0.528 0.203
0.378 0.047 0.331
0.472 0.675 0.797
0.717 0.047 0.669
0.878 0.675 0.203
0.953 0.283 0.331
0.953 0.622 0.669
```

Principal peaks in the range 2θ from 5° to 70°, by angle:
2θ 18.8, rel. 12; 2θ 25.9, rel. 100; 2θ 33.3, rel. 71; 2θ 36.9, rel. 18; 2θ 50.5, rel. 61; 2θ 53.2, rel. 16; 2θ 60.0, rel. 13; 2θ 63.6, rel. 14; 2θ 64.2, rel. 19; 2θ 69.8, rel. 12

***

[3]
Structure and computed PXRD pattern of Gd4B4O11F2 (a GGA-PBE-relaxed structure; Cu Kα X-rays).

Crystal structure
```
Gd4B4O11F2
1.0
6.858 -2.344 0.000
6.858 2.344 0.000
-0.224 0.000 13.843
Gd B O F
8 8 22 4
Direct
0.042 0.078 0.371
0.078 0.042 0.871
0.206 0.234 0.131
0.234 0.206 0.631
0.766 0.794 0.369
0.794 0.766 0.869
0.922 0.958 0.129
0.958 0.922 0.629
0.359 0.449 0.475
0.381 0.433 0.786
0.433 0.381 0.286
0.449 0.359 0.975
0.551 0.641 0.025
0.567 0.619 0.714
0.619 0.567 0.214
0.641 0.551 0.525
0.087 0.754 0.465
0.125 0.676 0.274
0.138 0.514 0.743
0.246 0.913 0.035
0.280 0.544 0.894
0.324 0.445 0.065
0.324 0.875 0.226
0.343 0.657 0.750
0.445 0.324 0.565
0.456 0.720 0.606
0.486 0.862 0.757
0.514 0.138 0.243
0.544 0.280 0.394
0.555 0.676 0.435
0.657 0.343 0.250
0.676 0.125 0.774
0.676 0.555 0.935
0.720 0.456 0.106
0.754 0.087 0.965
0.862 0.486 0.257
0.875 0.324 0.726
0.913 0.246 0.535
0.204 0.256 0.422
0.256 0.204 0.922
0.744 0.796 0.078
0.796 0.744 0.578
```

Principal peaks in the range 2θ from 5° to 70°, by angle:
2θ 20.0, rel. 77; 2θ 25.7, rel. 79; 2θ 28.9, rel. 46; 2θ 29.3, rel. 37; 2θ 30.1, rel. 94; 2θ 30.3, rel. 100; 2θ 32.7, rel. 48; 2θ 38.4, rel. 41; 2θ 46.8, rel. 50; 2θ 48.0, rel. 36

***

[4]
Structure and computed PXRD pattern of Ho8SiSb2 (a GGA-PBE-relaxed structure; Cu Kα X-rays).

Crystal structure
```
Ho8SiSb2
1.0
9.030 -2.106 0.000
9.030 2.106 0.000
-0.599 0.000 8.359
Ho Si Sb
8 1 2
Direct
0.010 0.010 0.226
0.208 0.208 0.363
0.343 0.343 0.973
0.407 0.407 0.457
0.593 0.593 0.543
0.657 0.657 0.027
0.792 0.792 0.637
0.990 0.990 0.774
0.500 0.500 0.000
0.180 0.180 0.764
0.820 0.820 0.236
```

Principal peaks in the range 2θ from 5° to 70°, by angle:
2θ 27.6, rel. 9; 2θ 30.3, rel. 100; 2θ 30.9, rel. 17; 2θ 32.7, rel. 36; 2θ 35.0, rel. 24; 2θ 35.5, rel. 10; 2θ 42.9, rel. 19; 2θ 52.1, rel. 9; 2θ 53.4, rel. 9; 2θ 63.0, rel. 11